# AcBe2WO8
Calculated powder X-ray diffraction pattern, Cu Kα (λ = 1.5418 Å). Input: a DFT-relaxed cell (GGA+U, Alexandria).
Neutral-atom scattering factors, no anomalous dispersion.

Crystal structure
Cell lengths 8.8461, 5.3435, 7.0667 Å; angles 90.00, 93.31, 90.00 degrees
Space group C2/m (No. 12)
One atom of each set of equivalent atoms:
Ac  0.0000  0.0000  0.0000 x2
Be  0.1362  0.5000  0.2834 x4
W  0.0000  0.0000  0.5000 x2
O  0.0408  0.2475  0.3078 x8
O  0.2075  0.0000  0.5970 x4
O  0.2177  0.5000  0.0785 x4

Principal peaks in the range 2θ from 10° to 90°, by angle:
hkl  two_theta  intensity
1 1 0  19.42  100
2 0 0  20.11  47
0 0 2  25.25  23
1 1 -2  31.56  44
1 1 2  32.52  29
0 2 0  33.54  14
3 1 0  34.79  25
0 2 2  42.41  33
3 1 2  44.57  12
2 2 -2  46.70  14